[1]
Calculated PXRD pattern
Compound: TiP3WO12
Radiation: Cu Kα (λ = 1.5418 Å)
Structure: a DFT-relaxed cell (GGA+U, Alexandria)
Kinematic intensities with the Lorentz-polarization factor, no thermal factor.

Peak list (10 most intense, 10 to 90 degrees two-theta, by angle)
d [Å]	Position (°2θ)	I (rel.)
6.218	14.2	100
4.437	20.0	100
4.358	20.4	70
3.744	23.8	45
3.109	28.7	59
2.801	32.0	51
2.531	35.5	32
2.516	35.7	25
1.977	45.9	21
1.739	52.6	22

Atomic structure:
Lattice parameters (Å, degrees): 8.8761 8.8761 8.8761 58.82 58.82 58.82
Fractional coordinates of all 34 atoms:
Ti 0.0000 0.0000 0.0000
Ti 0.5000 0.5000 0.5000
P 0.1134 0.3904 0.8214
P 0.3214 0.8904 0.6134
P 0.3904 0.8214 0.1134
P 0.6134 0.3214 0.8904
P 0.8214 0.1134 0.3904
P 0.8904 0.6134 0.3214
W 0.2171 0.2171 0.2171
W 0.7171 0.7171 0.7171
O 0.0712 0.4407 0.2955
O 0.0807 0.2204 0.8576
O 0.1401 0.3698 0.9921
O 0.1467 0.9191 0.7850
O 0.2204 0.8576 0.0807
O 0.2850 0.4191 0.6467
O 0.2955 0.0712 0.4407
O 0.3576 0.7204 0.5807
O 0.3698 0.9921 0.1401
O 0.4191 0.6467 0.2850
O 0.4407 0.2955 0.0712
O 0.4921 0.8698 0.6401
O 0.5712 0.7955 0.9407
O 0.5807 0.3576 0.7204
O 0.6401 0.4921 0.8698
O 0.6467 0.2850 0.4191
O 0.7204 0.5807 0.3576
O 0.7850 0.1467 0.9191
O 0.7955 0.9407 0.5712
O 0.8576 0.0807 0.2204
O 0.8698 0.6401 0.4921
O 0.9191 0.7850 0.1467
O 0.9407 0.5712 0.7955
O 0.9921 0.1401 0.3698

***

[2]
Calculated PXRD pattern
Compound: TiZnP3WO12
Radiation: Cu Kα (λ = 1.5418 Å)
Structure: a DFT-relaxed cell (GGA+U, Alexandria)
Kinematic intensities with the Lorentz-polarization factor, no thermal factor.

Peak list (10 most intense, 10 to 90 degrees two-theta, by angle)
d [Å]	Position (°2θ)	I (rel.)
6.172	14.4	43
4.388	20.2	100
4.341	20.5	31
3.726	23.9	36
3.577	24.9	21
2.748	32.6	67
2.534	35.4	37
1.945	46.7	27
1.863	48.9	24
1.658	55.4	27

Atomic structure:
Lattice parameters (Å, degrees): 8.6824 8.6824 8.6824 60.72 60.72 60.72
Fractional coordinates of all 36 atoms:
Ti 0.0000 0.0000 0.0000
Ti 0.5000 0.5000 0.5000
Zn 0.3546 0.3546 0.3546
Zn 0.8546 0.8546 0.8546
P 0.1136 0.3949 0.8018
P 0.3018 0.8949 0.6136
P 0.3949 0.8018 0.1136
P 0.6136 0.3018 0.8949
P 0.8018 0.1136 0.3949
P 0.8949 0.6136 0.3018
W 0.2118 0.2118 0.2118
W 0.7118 0.7118 0.7118
O 0.0474 0.2307 0.8547
O 0.0892 0.4578 0.2862
O 0.1069 0.9054 0.7712
O 0.1866 0.3553 0.9470
O 0.2307 0.8547 0.0474
O 0.2712 0.4054 0.6069
O 0.2862 0.0892 0.4578
O 0.3547 0.7307 0.5474
O 0.3553 0.9470 0.1866
O 0.4054 0.6069 0.2712
O 0.4470 0.8553 0.6866
O 0.4578 0.2862 0.0892
O 0.5474 0.3547 0.7307
O 0.5892 0.7862 0.9578
O 0.6069 0.2712 0.4054
O 0.6866 0.4470 0.8553
O 0.7307 0.5474 0.3547
O 0.7712 0.1069 0.9054
O 0.7862 0.9578 0.5892
O 0.8547 0.0474 0.2307
O 0.8553 0.6866 0.4470
O 0.9054 0.7712 0.1069
O 0.9470 0.1866 0.3553
O 0.9578 0.5892 0.7862